Simulated powder diffractogram of Li4Mn2Cl9 for Cu Kα (weighted mean of Kα1 and Kα2), from a cell relaxed with GGA-PBE.
Peak positions follow from Bragg's law for the DFT cell and can differ from measured ones.

The 10 most intense peaks (10 to 90 degrees two-theta), most intense first:
| Position (°2θ) | Rel. int. |
| --- | --- |
| 31.1 | 100 |
| 30.4 | 82 |
| 15.8 | 73 |
| 32.9 | 66 |
| 16.1 | 66 |
| 16.0 | 58 |
| 30.0 | 54 |
| 32.8 | 53 |
| 49.2 | 49 |
| 49.4 | 39 |

Atomic structure:
```
Li4Mn2Cl9
1.0
6.3752 0.0000 0.0000
3.1607 5.6196 0.0000
2.0755 0.7146 17.8461
Li Mn Cl
8 4 18
Direct
0.0022 0.2079 0.4445
0.0973 0.1380 0.1640
0.1790 0.1656 0.9832
0.2930 0.1156 0.6694
0.7070 0.8844 0.3306
0.8210 0.8344 0.0168
0.9027 0.8620 0.8360
0.9978 0.7921 0.5555
0.3762 0.5402 0.3352
0.4632 0.4754 0.1410
0.5368 0.5246 0.8590
0.6238 0.4598 0.6648
0.0110 0.8471 0.4187
0.1158 0.5381 0.2563
0.1509 0.8306 0.0823
0.1788 0.5199 0.9160
0.2757 0.7902 0.7543
0.3555 0.4439 0.5934
0.3714 0.2279 0.4079
0.4121 0.8271 0.2554
0.4486 0.1556 0.0877
0.5514 0.8444 0.9123
0.5879 0.1729 0.7446
0.6286 0.7721 0.5921
0.6445 0.5561 0.4066
0.7243 0.2098 0.2457
0.8212 0.4801 0.0840
0.8491 0.1694 0.9177
0.8842 0.4619 0.7437
0.9890 0.1529 0.5813
```

=====

Simulated powder diffractogram of LiThTlRh for Cu Kα (weighted mean of Kα1 and Kα2), from a cell relaxed with GGA-PBE.
Peak positions follow from Bragg's law for the DFT cell and can differ from measured ones.

The 10 most intense peaks (10 to 90 degrees two-theta), most intense first:
| Position (°2θ) | Rel. int. |
| --- | --- |
| 36.8 | 100 |
| 25.8 | 42 |
| 66.3 | 37 |
| 53.0 | 18 |
| 59.9 | 17 |
| 89.8 | 17 |
| 45.5 | 13 |
| 78.3 | 11 |
| 22.3 | 9 |
| 84.0 | 9 |

Atomic structure:
```
LiThTlRh
1.0
0.0000 3.4550 3.4550
3.4550 0.0000 3.4550
3.4550 3.4550 0.0000
Li Th Tl Rh
1 1 1 1
Direct
0.0000 0.0000 0.0000
0.7500 0.7500 0.7500
0.2500 0.2500 0.2500
0.5000 0.5000 0.5000
```

=====

Simulated powder diffractogram of TiBe5Ni for Cu Kα (weighted mean of Kα1 and Kα2), from a cell relaxed with GGA-PBE.
Peak positions follow from Bragg's law for the DFT cell and can differ from measured ones.

The 10 most intense peaks (10 to 90 degrees two-theta), most intense first:
| Position (°2θ) | Rel. int. |
| --- | --- |
| 23.5 | 100 |
| 37.3 | 51 |
| 39.5 | 47 |
| 45.4 | 44 |
| 16.0 | 39 |
| 43.2 | 39 |
| 48.9 | 39 |
| 45.5 | 37 |
| 32.0 | 37 |
| 27.2 | 32 |

Atomic structure:
```
TiBe5Ni
1.0
7.0610 0.0000 0.0000
0.0000 4.1861 0.0000
0.0000 0.0000 8.8615
Ti Be Ni
4 20 4
Direct
0.2377 0.2500 0.0668
0.2623 0.7500 0.5668
0.7377 0.2500 0.4332
0.7623 0.7500 0.9332
0.0403 0.7500 0.0996
0.0599 0.0072 0.3099
0.0599 0.4928 0.3099
0.0840 0.2500 0.5154
0.1958 0.2500 0.7481
0.3042 0.7500 0.2481
0.4160 0.7500 0.0154
0.4401 0.5072 0.8099
0.4401 0.9928 0.8099
0.4597 0.2500 0.5996
0.5403 0.7500 0.4004
0.5599 0.0072 0.1901
0.5599 0.4928 0.1901
0.5840 0.2500 0.9846
0.6958 0.2500 0.7519
0.8042 0.7500 0.2519
0.9160 0.7500 0.4846
0.9401 0.5072 0.6901
0.9401 0.9928 0.6901
0.9597 0.2500 0.9004
0.1449 0.7500 0.8618
0.3551 0.2500 0.3618
0.6449 0.7500 0.6382
0.8551 0.2500 0.1382
```

=====

Simulated powder diffractogram of Na2Ca2TeO6 for Cu Kα (weighted mean of Kα1 and Kα2), from a cell relaxed with GGA-PBE.
Peak positions follow from Bragg's law for the DFT cell and can differ from measured ones.

The 10 most intense peaks (10 to 90 degrees two-theta), most intense first:
| Position (°2θ) | Rel. int. |
| --- | --- |
| 15.6 | 100 |
| 37.1 | 63 |
| 18.0 | 60 |
| 38.2 | 30 |
| 54.4 | 22 |
| 33.1 | 21 |
| 23.8 | 20 |
| 31.3 | 19 |
| 54.3 | 17 |
| 31.5 | 14 |

Atomic structure:
```
Na2Ca2TeO6
1.0
2.9446 -4.9683 0.0000
2.9446 4.9683 0.0000
-1.6270 0.0000 5.6811
Na Ca Te O
2 2 1 6
Direct
0.1521 0.8479 0.0000
0.8479 0.1521 0.0000
0.3369 0.6631 0.5000
0.6631 0.3369 0.5000
0.0000 0.0000 0.5000
0.0467 0.3367 0.6930
0.2189 0.2189 0.3015
0.3367 0.0467 0.6930
0.6633 0.9533 0.3070
0.7811 0.7811 0.6985
0.9533 0.6633 0.3070
```

=====

Simulated powder diffractogram of RbPS2Cl for Cu Kα (weighted mean of Kα1 and Kα2), from a cell relaxed with GGA-PBE.
Peak positions follow from Bragg's law for the DFT cell and can differ from measured ones.

The 10 most intense peaks (10 to 90 degrees two-theta), most intense first:
| Position (°2θ) | Rel. int. |
| --- | --- |
| 32.0 | 100 |
| 39.4 | 52 |
| 25.2 | 49 |
| 32.2 | 48 |
| 51.7 | 44 |
| 27.6 | 22 |
| 66.8 | 21 |
| 66.9 | 20 |
| 47.3 | 18 |
| 57.3 | 17 |

Atomic structure:
```
RbPS2Cl
1.0
4.5748 0.0000 0.0000
0.0000 4.5748 0.0000
0.0000 0.0000 5.5627
Rb P S Cl
1 1 2 1
Direct
0.0000 0.0000 0.0000
0.5000 0.5000 0.5000
0.0000 0.5000 0.5000
0.5000 0.0000 0.5000
0.5000 0.5000 0.0000
```

=====

Simulated powder diffractogram of PmPrNd2Sm4 for Cu Kα (weighted mean of Kα1 and Kα2), from a cell relaxed with GGA-PBE.
Peak positions follow from Bragg's law for the DFT cell and can differ from measured ones.

The 10 most intense peaks (10 to 90 degrees two-theta), most intense first:
| Position (°2θ) | Rel. int. |
| --- | --- |
| 29.6 | 100 |
| 40.3 | 87 |
| 26.7 | 75 |
| 29.8 | 56 |
| 40.4 | 49 |
| 60.1 | 27 |
| 63.6 | 23 |
| 52.8 | 20 |
| 68.2 | 14 |
| 63.7 | 13 |

Atomic structure:
```
PmPrNd2Sm4
1.0
6.9335 -6.6883 0.0000
6.9335 6.6883 0.0000
-3.5004 0.0000 6.0358
Pm Pr Nd Sm
2 2 4 8
Direct
0.0000 0.0000 0.0000
0.0000 0.0000 0.5000
0.0000 0.5000 0.0000
0.5000 0.0000 0.5000
0.0000 0.5000 0.5000
0.5000 0.0000 0.0000
0.5000 0.5000 0.0000
0.5000 0.5000 0.5000
0.2468 0.7485 0.9971
0.2487 0.2496 0.4421
0.2496 0.2487 0.9421
0.2515 0.7532 0.5029
0.7485 0.2468 0.4971
0.7504 0.7513 0.0579
0.7513 0.7504 0.5579
0.7532 0.2515 0.0029
```